(1)
TbMgTe2AuS: computed X-ray diffraction stick pattern (Cu Ka), based on a GGA-PBE-relaxed structure.

```
TbMgTe2AuS
1.0
2.0483 -7.0672 0.0000
2.0483 7.0672 0.0000
0.0000 0.0000 10.4605
Tb Mg Te Au S
2 2 4 2 2
direct
0.0000 0.0000 0.0000 Tb
0.0000 0.0000 0.5000 Tb
0.2807 0.7193 0.7500 Mg
0.7193 0.2807 0.2500 Mg
0.3416 0.6584 0.0672 Te
0.3416 0.6584 0.4328 Te
0.6584 0.3416 0.5672 Te
0.6584 0.3416 0.9328 Te
0.4801 0.5199 0.2500 Au
0.5199 0.4801 0.7500 Au
0.0977 0.9023 0.2500 S
0.9023 0.0977 0.7500 S
```

Peak list (6 most intense, 2θ from 5° to 70°, by angle)
| 2θ (°) | I_rel |
| --- | --- |
| 12.5 | 55.2 |
| 28.4 | 36.2 |
| 33.7 | 100.0 |
| 34.3 | 26.5 |
| 42.5 | 22.8 |
| 44.2 | 20.6 |

=====

(2)
Mg2Sc2TlAu3: computed X-ray diffraction stick pattern (Cu Ka), based on a GGA-PBE-relaxed structure.

```
Mg2Sc2TlAu3
1.0
4.7879 0.0000 0.0000
0.0000 4.7879 0.0000
0.0000 0.0000 6.8340
Mg Sc Tl Au
2 2 1 3
direct
0.0000 0.5000 0.2378 Mg
0.5000 0.0000 0.7622 Mg
0.0000 0.5000 0.7640 Sc
0.5000 0.0000 0.2360 Sc
0.0000 0.0000 0.5000 Tl
0.0000 0.0000 0.0000 Au
0.5000 0.5000 0.0000 Au
0.5000 0.5000 0.5000 Au
```

Peak list (6 most intense, 2θ from 5° to 70°, by angle)
| 2θ (°) | I_rel |
| --- | --- |
| 26.1 | 30.7 |
| 26.3 | 59.6 |
| 37.4 | 100.0 |
| 37.6 | 49.6 |
| 46.3 | 27.7 |
| 67.7 | 35.2 |

=====

(3)
Mg3Sc2ZnAu2: computed X-ray diffraction stick pattern (Cu Ka), based on a GGA-PBE-relaxed structure.

```
Mg3Sc2ZnAu2
1.0
4.7415 0.0000 0.0000
0.0000 4.7415 0.0000
0.0000 0.0000 6.7376
Mg Sc Zn Au
3 2 1 2
direct
0.0000 0.0000 0.0000 Mg
0.0000 0.5000 0.7428 Mg
0.5000 0.0000 0.2572 Mg
0.0000 0.5000 0.2632 Sc
0.5000 0.0000 0.7368 Sc
0.5000 0.5000 0.5000 Zn
0.0000 0.0000 0.5000 Au
0.5000 0.5000 0.0000 Au
```

Peak list (6 most intense, 2θ from 5° to 70°, by angle)
| 2θ (°) | I_rel |
| --- | --- |
| 22.9 | 52.9 |
| 26.5 | 13.0 |
| 26.6 | 25.4 |
| 37.9 | 100.0 |
| 44.8 | 19.2 |
| 68.5 | 22.8 |

=====

(4)
TbMgAu4: computed X-ray diffraction stick pattern (Cu Ka), based on a GGA-PBE-relaxed structure.

```
TbMgAu4
1.0
2.7754 1.6024 4.5273
-2.7754 1.6024 4.5273
0.0000 -3.2048 4.5273
Tb Mg Au
1 1 4
direct
0.0000 0.0000 0.0000 Tb
0.2507 0.2507 0.2507 Mg
0.1260 0.6244 0.6244 Au
0.6244 0.1260 0.6244 Au
0.6244 0.6244 0.1260 Au
0.6244 0.6244 0.6244 Au
```

Peak list (6 most intense, 2θ from 5° to 70°, by angle)
| 2θ (°) | I_rel |
| --- | --- |
| 19.6 | 47.0 |
| 38.0 | 100.0 |
| 39.8 | 66.9 |
| 46.3 | 19.0 |
| 61.4 | 33.4 |
| 67.5 | 31.6 |

=====

(5)
MgTl2Au: computed X-ray diffraction stick pattern (Cu Ka), based on a GGA-PBE-relaxed structure.

```
MgTl2Au
1.0
0.0000 3.6162 3.6162
3.6162 0.0000 3.6162
3.6162 3.6162 0.0000
Mg Tl Au
1 2 1
direct
0.0000 0.0000 0.0000 Mg
0.5000 0.5000 0.5000 Tl
0.7500 0.7500 0.7500 Tl
0.2500 0.2500 0.2500 Au
```

Peak list (6 most intense, 2θ from 5° to 70°, by angle)
| 2θ (°) | I_rel |
| --- | --- |
| 21.3 | 17.8 |
| 24.6 | 9.3 |
| 35.1 | 100.0 |
| 41.4 | 9.9 |
| 50.5 | 18.1 |
| 63.0 | 37.6 |

=====

(6)
TmMg2ZnAu4: computed X-ray diffraction stick pattern (Cu Ka), based on a GGA-PBE-relaxed structure.

```
TmMg2ZnAu4
1.0
4.7008 0.0000 0.0000
0.0000 4.7008 0.0000
0.0000 0.0000 6.8246
Tm Mg Zn Au
1 2 1 4
direct
0.0000 0.0000 0.0000 Tm
0.0000 0.0000 0.5000 Mg
0.5000 0.5000 0.0000 Mg
0.5000 0.5000 0.5000 Zn
0.0000 0.5000 0.2664 Au
0.0000 0.5000 0.7336 Au
0.5000 0.0000 0.2664 Au
0.5000 0.0000 0.7336 Au
```

Peak list (6 most intense, 2θ from 5° to 70°, by angle)
| 2θ (°) | I_rel |
| --- | --- |
| 26.8 | 26.4 |
| 37.8 | 100.0 |
| 38.3 | 49.7 |
| 55.3 | 17.3 |
| 67.9 | 16.5 |
| 68.9 | 34.7 |

=====

(7)
YMg6Au: computed X-ray diffraction stick pattern (Cu Ka), based on a GGA-PBE-relaxed structure.

```
YMg6Au
1.0
6.4707 0.0000 0.0000
-3.2353 5.6038 0.0000
0.0000 0.0000 4.9877
Y Mg Au
1 6 1
direct
0.0000 0.0000 0.0000 Y
0.1700 0.3399 0.5000 Mg
0.1700 0.8300 0.5000 Mg
0.5013 0.0027 0.0000 Mg
0.5013 0.4987 0.0000 Mg
0.6601 0.8300 0.5000 Mg
0.9973 0.4987 0.0000 Mg
0.6667 0.3333 0.5000 Au
```

Peak list (6 most intense, 2θ from 5° to 70°, by angle)
| 2θ (°) | I_rel |
| --- | --- |
| 15.8 | 56.0 |
| 23.9 | 89.8 |
| 27.6 | 39.7 |
| 31.9 | 28.1 |
| 36.8 | 100.0 |
| 46.6 | 31.3 |

=====

(8)
SnMo4AuN2: computed X-ray diffraction stick pattern (Cu Ka), based on a GGA-PBE-relaxed structure.

```
SnMo4AuN2
1.0
3.2364 0.0000 0.0000
-1.6182 2.8028 0.0000
0.0000 0.0000 12.9066
Sn Mo Au N
1 4 1 2
direct
0.0000 0.0000 0.0000 Sn
0.0000 0.0000 0.3298 Mo
0.0000 0.0000 0.6702 Mo
0.6667 0.3333 0.1749 Mo
0.6667 0.3333 0.8251 Mo
0.6667 0.3333 0.5000 Au
0.3333 0.6667 0.2577 N
0.3333 0.6667 0.7423 N
```

Peak list (6 most intense, 2θ from 5° to 70°, by angle)
| 2θ (°) | I_rel |
| --- | --- |
| 6.8 | 14.1 |
| 31.9 | 24.3 |
| 38.3 | 100.0 |
| 42.0 | 15.5 |
| 53.7 | 13.9 |
| 56.9 | 22.1 |

=====

(9)
Y4Mo2Au3N3: computed X-ray diffraction stick pattern (Cu Ka), based on a GGA-PBE-relaxed structure.

```
Y4Mo2Au3N3
1.0
5.0891 -2.9740 0.0000
5.0891 2.9740 0.0000
-3.4686 0.0000 13.8553
Y Mo Au N
8 4 6 6
direct
0.0429 0.1945 0.1037 Y
0.1239 0.3004 0.3964 Y
0.1945 0.0429 0.6037 Y
0.3004 0.1239 0.8964 Y
0.6996 0.8761 0.1036 Y
0.8055 0.9571 0.3963 Y
0.8761 0.6996 0.6036 Y
0.9571 0.8055 0.8963 Y
0.3493 0.5200 0.0606 Mo
0.4800 0.6507 0.4394 Mo
0.5200 0.3493 0.5606 Mo
0.6507 0.4800 0.9394 Mo
0.1496 0.8504 0.2500 Au
0.3096 0.4197 0.7519 Au
0.4197 0.3096 0.2519 Au
0.5803 0.6904 0.7481 Au
0.6904 0.5803 0.2481 Au
0.8504 0.1496 0.7500 Au
0.0000 0.5000 0.0000 N
0.1766 0.6634 0.5006 N
0.3366 0.8234 0.9994 N
0.5000 0.0000 0.5000 N
0.6634 0.1766 0.0006 N
0.8234 0.3366 0.4994 N
```

Peak list (6 most intense, 2θ from 5° to 70°, by angle)
| 2θ (°) | I_rel |
| --- | --- |
| 12.8 | 59.8 |
| 30.3 | 50.2 |
| 35.9 | 100.0 |
| 36.1 | 96.6 |
| 36.2 | 89.2 |
| 39.0 | 44.0 |

=====

(10)
NaMoPtAu: computed X-ray diffraction stick pattern (Cu Ka), based on a GGA-PBE-relaxed structure.

```
NaMoPtAu
1.0
0.0000 3.2414 3.2414
3.2414 0.0000 3.2414
3.2414 3.2414 0.0000
Na Mo Pt Au
1 1 1 1
direct
0.0000 0.0000 0.0000 Na
0.5000 0.5000 0.5000 Mo
0.2500 0.2500 0.2500 Pt
0.7500 0.7500 0.7500 Au
```

Peak list (6 most intense, 2θ from 5° to 70°, by angle)
| 2θ (°) | I_rel |
| --- | --- |
| 23.8 | 5.2 |
| 27.5 | 34.1 |
| 39.3 | 100.0 |
| 48.7 | 10.2 |
| 56.8 | 17.1 |
| 64.3 | 13.8 |

=====

(11)
NiMoAu2: computed X-ray diffraction stick pattern (Cu Ka), based on a GGA-PBE-relaxed structure.

```
NiMoAu2
1.0
0.0000 3.1543 3.1543
3.1543 0.0000 3.1543
3.1543 3.1543 0.0000
Ni Mo Au
1 1 2
direct
0.0000 0.0000 0.0000 Ni
0.2500 0.2500 0.2500 Mo
0.5000 0.5000 0.5000 Au
0.7500 0.7500 0.7500 Au
```

Peak list (5 most intense, 2θ from 5° to 70°, by angle)
| 2θ (°) | I_rel |
| --- | --- |
| 24.4 | 20.9 |
| 40.4 | 100.0 |
| 47.8 | 11.5 |
| 58.5 | 16.8 |
| 64.4 | 4.9 |

=====

(12)
Rb2Mo3Au2: computed X-ray diffraction stick pattern (Cu Ka), based on a GGA-PBE-relaxed structure.

```
Rb2Mo3Au2
1.0
2.2420 1.2944 9.9249
-2.2420 1.2944 9.9249
0.0000 -2.5888 9.9249
Rb Mo Au
2 3 2
direct
0.0000 0.0000 0.0000 Rb
0.4060 0.4060 0.4060 Rb
0.2278 0.2278 0.2278 Mo
0.5224 0.5224 0.5224 Mo
0.8550 0.8550 0.8550 Mo
0.1373 0.1373 0.1373 Au
0.6099 0.6099 0.6099 Au
```

Peak list (6 most intense, 2θ from 5° to 70°, by angle)
| 2θ (°) | I_rel |
| --- | --- |
| 8.9 | 94.8 |
| 23.7 | 43.0 |
| 33.3 | 63.5 |
| 38.1 | 33.4 |
| 40.2 | 100.0 |
| 40.6 | 31.0 |

=====

(13)
RbMoAu3Se4: computed X-ray diffraction stick pattern (Cu Ka), based on a GGA-PBE-relaxed structure.

```
RbMoAu3Se4
1.0
6.4318 0.0000 0.0000
0.0000 6.4318 0.0000
0.0000 0.0000 6.4318
Rb Mo Au Se
1 1 3 4
direct
0.0000 0.0000 0.0000 Rb
0.5000 0.5000 0.5000 Mo
0.0000 0.5000 0.5000 Au
0.5000 0.0000 0.5000 Au
0.5000 0.5000 0.0000 Au
0.2815 0.2815 0.2815 Se
0.2815 0.7185 0.7185 Se
0.7185 0.2815 0.7185 Se
0.7185 0.7185 0.2815 Se
```

Peak list (6 most intense, 2θ from 5° to 70°, by angle)
| 2θ (°) | I_rel |
| --- | --- |
| 13.8 | 44.0 |
| 24.0 | 94.8 |
| 27.7 | 27.1 |
| 39.6 | 100.0 |
| 46.8 | 46.9 |
| 63.0 | 17.3 |

=====

(14)
TlTeMoAuSe2: computed X-ray diffraction stick pattern (Cu Ka), based on a GGA-PBE-relaxed structure.

```
TlTeMoAuSe2
1.0
1.7762 -8.1611 0.0000
1.7762 8.1611 0.0000
0.0000 0.0000 10.4403
Tl Te Mo Au Se
2 2 2 2 4
direct
0.2287 0.7713 0.7500 Tl
0.7713 0.2287 0.2500 Tl
0.0796 0.9204 0.2500 Te
0.9204 0.0796 0.7500 Te
0.0000 0.0000 0.0000 Mo
0.0000 0.0000 0.5000 Mo
0.4421 0.5579 0.2500 Au
0.5579 0.4421 0.7500 Au
0.3838 0.6162 0.0257 Se
0.3838 0.6162 0.4743 Se
0.6162 0.3838 0.5257 Se
0.6162 0.3838 0.9743 Se
```

Peak list (6 most intense, 2θ from 5° to 70°, by angle)
| 2θ (°) | I_rel |
| --- | --- |
| 17.0 | 29.9 |
| 31.3 | 100.0 |
| 34.4 | 42.9 |
| 34.7 | 36.0 |
| 39.9 | 36.8 |
| 53.6 | 28.9 |